1.
Diffraction record for BeAlOs. The powder X-ray diffraction pattern is theoretical, not measured: it uses a structure optimized by DFT (PBE) and Cu Kα (λ = 1.5418 Å).
Lines closer than 0.1° are merged.

Largest 10 diffraction maxima, low angle first, 10° ≤ 2θ ≤ 90°:
2θ/deg  intensity
14.7  30
26.8  100
29.6  42
30.1  48
37.8  48
43.5  98
45.4  24
48.0  27
55.5  18
66.4  23

Cell and atoms:
abc: 6.2325 6.2325 3.9942
angles: 90.00 90.00 151.55
Element x y z (fractional)
Be 0.2475 0.7525 0.7500
Be 0.7525 0.2475 0.2500
Al 0.4206 0.5794 0.2500
Al 0.5794 0.4206 0.7500
Os 0.1024 0.8976 0.2500
Os 0.8976 0.1024 0.7500



2.
Diffraction record for DyHo2Bi4. The powder X-ray diffraction pattern is theoretical, not measured: it uses a structure optimized by DFT (PBE) and Cu Kα (λ = 1.5418 Å).
Lines closer than 0.1° are merged.

Largest 10 diffraction maxima, low angle first, 10° ≤ 2θ ≤ 90°:
2θ/deg  intensity
26.2  19
30.0  44
30.6  22
31.0  100
34.0  45
38.3  20
40.2  30
41.6  12
53.5  11
62.1  14

Cell and atoms:
abc: 6.0731 6.0731 17.0388
angles: 90.00 90.00 136.65
Element x y z (fractional)
Dy 0.0561 0.9439 0.7500
Dy 0.9439 0.0561 0.2500
Ho 0.3392 0.6608 0.5742
Ho 0.3392 0.6608 0.9258
Ho 0.6608 0.3392 0.0742
Ho 0.6608 0.3392 0.4258
Bi 0.0000 0.0000 0.0000
Bi 0.0000 0.0000 0.5000
Bi 0.3479 0.6521 0.7500
Bi 0.3520 0.6480 0.1221
Bi 0.3520 0.6480 0.3779
Bi 0.6480 0.3520 0.6221
Bi 0.6480 0.3520 0.8779
Bi 0.6521 0.3479 0.2500



3.
Diffraction record for K3Tb2NpSe6. The powder X-ray diffraction pattern is theoretical, not measured: it uses a structure optimized by DFT (PBE) and Cu Kα (λ = 1.5418 Å).
Lines closer than 0.1° are merged.

Largest 10 diffraction maxima, low angle first, 10° ≤ 2θ ≤ 90°:
2θ/deg  intensity
11.5  65
24.5  17
28.8  100
36.6  21
39.7  35
42.5  36
44.2  16
50.1  12
52.2  12
69.4  16

Cell and atoms:
abc: 7.3662 7.3662 8.0623
angles: 98.74 98.74 119.92
Element x y z (fractional)
K 0.0000 0.0000 0.0000
K 0.3331 0.6669 0.0000
K 0.6669 0.3331 0.0000
Tb 0.1660 0.8340 0.5000
Tb 0.8340 0.1660 0.5000
Np 0.5000 0.5000 0.5000
Se 0.0948 0.4309 0.2938
Se 0.2325 0.2325 0.7068
Se 0.4309 0.0948 0.2938
Se 0.5691 0.9052 0.7062
Se 0.7675 0.7675 0.2932
Se 0.9052 0.5691 0.7062



4.
Diffraction record for MnCu2Rh. The powder X-ray diffraction pattern is theoretical, not measured: it uses a structure optimized by DFT (PBE) and Cu Kα (λ = 1.5418 Å).
Lines closer than 0.1° are merged.

Largest 10 diffraction maxima, low angle first, 10° ≤ 2θ ≤ 90°:
2θ/deg  intensity
24.4  3
26.5  6
33.5  3
41.9  100
48.1  33
50.0  15
70.3  10
71.9  18
85.3  23
88.3  10

Cell and atoms:
abc: 4.5242 4.5242 4.5242
angles: 130.53 130.53 72.57
Element x y z (fractional)
Mn 0.0000 0.0000 0.0000
Cu 0.5000 0.5000 0.0000
Cu 0.7500 0.2500 0.5000
Rh 0.2500 0.7500 0.5000



Number 4 is which compound?
MnCu2Rh



Number 4 is which compound?
MnCu2Rh